1.
Na8B11C5: calculated X-ray diffraction stick pattern (copper Kα), based on a PBE-relaxed structure.

Top 8 peaks for 15 to 90 degrees two-theta, sorted by position:
- 35.73°, intensity 20
- 41.65°, intensity 100
- 41.89°, intensity 52
- 42.11°, intensity 39
- 64.55°, intensity 17
- 76.65°, intensity 13
- 79.47°, intensity 12
- 80.12°, intensity 22

Structural model:
```
data_Na8B11C5
_space_group_name_H-M_alt 'P 1'
_space_group_IT_number 1
_space_group_name_Hall 'P 1'
_cell_length_a 4.9888
_cell_length_b 5.8187
_cell_length_c 9.0611
_cell_angle_alpha 71.30
_cell_angle_beta 89.97
_cell_angle_gamma 89.97
loop_
_atom_site_label
_atom_site_type_symbol
_atom_site_fract_x
_atom_site_fract_y
_atom_site_fract_z
Na1 Na 0.0000 0.0000 0.0000
Na2 Na 0.0000 0.2511 0.4966
Na3 Na 0.0007 0.4988 0.0009
Na4 Na 0.0005 0.7513 0.4955
Na5 Na 0.4984 0.0015 0.4971
Na6 Na 0.4992 0.2499 0.0007
Na7 Na 0.5004 0.7513 0.9972
Na8 Na 0.5012 0.5014 0.4981
B1 B 0.1626 0.6260 0.2476
B2 B 0.1797 0.1253 0.2489
B3 B 0.1800 0.3779 0.7476
B4 B 0.3082 0.6406 0.7483
B5 B 0.3358 0.1167 0.7483
B6 B 0.6557 0.3875 0.2488
B7 B 0.6557 0.8642 0.2474
B8 B 0.6807 0.6239 0.7485
B9 B 0.8083 0.3608 0.7479
B10 B 0.8363 0.8844 0.7491
B11 B 0.8385 0.1253 0.2491
C1 C 0.1731 0.8818 0.7492
C2 C 0.3342 0.3807 0.2488
C3 C 0.3342 0.8710 0.2475
C4 C 0.6733 0.1192 0.7484
C5 C 0.8330 0.6262 0.2473
```


2.
Tm2H3O: calculated X-ray diffraction stick pattern (copper Kα), based on a PBE-relaxed structure.

Top 8 peaks for 15 to 90 degrees two-theta, sorted by position:
- 29.94°, intensity 100
- 34.71°, intensity 45
- 49.90°, intensity 41
- 59.29°, intensity 44
- 62.21°, intensity 12
- 73.24°, intensity 6
- 81.09°, intensity 18
- 83.66°, intensity 16

Structural model:
```
data_Tm2H3O
_space_group_name_H-M_alt 'P n -3 m'
_space_group_IT_number 224
_cell_length_a 5.1694
_cell_length_b 5.1694
_cell_length_c 5.1694
_cell_angle_alpha 90.00
_cell_angle_beta 90.00
_cell_angle_gamma 90.00
loop_
_space_group_symop_operation_xyz
'x,y,z'
'-x,-y,-z'
'-y,x+1/2,z+1/2'
'y,-x+1/2,-z+1/2'
'-x+1/2,-y+1/2,z'
'x+1/2,y+1/2,-z'
'y+1/2,-x,z+1/2'
'-y+1/2,x,-z+1/2'
'x,-y+1/2,-z+1/2'
'-x,y+1/2,z+1/2'
'-y,-x,-z'
'y,x,z'
'-x+1/2,y,-z+1/2'
'x+1/2,-y,z+1/2'
'y+1/2,x+1/2,-z'
'-y+1/2,-x+1/2,z'
'z,x,y'
'-z,-x,-y'
'z+1/2,-y,x+1/2'
'-z+1/2,y,-x+1/2'
'z,-x+1/2,-y+1/2'
'-z,x+1/2,y+1/2'
'z+1/2,y+1/2,-x'
'-z+1/2,-y+1/2,x'
'-z+1/2,x,-y+1/2'
'z+1/2,-x,y+1/2'
'-z,-y,-x'
'z,y,x'
'-z+1/2,-x+1/2,y'
'z+1/2,x+1/2,-y'
'-z,y+1/2,x+1/2'
'z,-y+1/2,-x+1/2'
'y,z,x'
'-y,-z,-x'
'x+1/2,z+1/2,-y'
'-x+1/2,-z+1/2,y'
'-y+1/2,z,-x+1/2'
'y+1/2,-z,x+1/2'
'-x,z+1/2,y+1/2'
'x,-z+1/2,-y+1/2'
'-y+1/2,-z+1/2,x'
'y+1/2,z+1/2,-x'
'-x,-z,-y'
'x,z,y'
'y,-z+1/2,-x+1/2'
'-y,z+1/2,x+1/2'
'x+1/2,-z,y+1/2'
'-x+1/2,z,-y+1/2'
loop_
_atom_site_label
_atom_site_type_symbol
_atom_site_fract_x
_atom_site_fract_y
_atom_site_fract_z
Tm1 Tm 0.0000 0.0000 0.0000
H1 H 0.2500 0.2500 0.7500
O1 O 0.2500 0.2500 0.2500
```


3.
HgH3Ir: calculated X-ray diffraction stick pattern (copper Kα), based on a PBE-relaxed structure.

Top 8 peaks for 15 to 90 degrees two-theta, sorted by position:
- 17.73°, intensity 100
- 32.22°, intensity 15
- 35.57°, intensity 43
- 38.66°, intensity 23
- 39.33°, intensity 17
- 41.32°, intensity 28
- 43.45°, intensity 21
- 46.58°, intensity 14

Structural model:
```
data_HgH3Ir
_space_group_name_H-M_alt 'C 1 2/m 1'
_space_group_IT_number 12
_space_group_name_Hall '-C 2y'
_cell_length_a 10.7742
_cell_length_b 4.5818
_cell_length_c 6.0765
_cell_angle_alpha 90.00
_cell_angle_beta 111.77
_cell_angle_gamma 90.00
loop_
_atom_site_label
_atom_site_type_symbol
_atom_site_fract_x
_atom_site_fract_y
_atom_site_fract_z
Hg1 Hg 0.2339 0.0000 0.1171
H1 H 0.0709 0.5000 0.1443
H2 H 0.1048 0.2647 0.4268
Ir1 Ir 0.2021 0.5000 0.3771
```


4.
Na2NbRu2: calculated X-ray diffraction stick pattern (copper Kα), based on a PBE-relaxed structure.

Top 8 peaks for 15 to 90 degrees two-theta, sorted by position:
- 26.86°, intensity 23
- 31.62°, intensity 28
- 37.41°, intensity 46
- 39.28°, intensity 72
- 39.61°, intensity 100
- 49.55°, intensity 42
- 53.94°, intensity 30
- 68.96°, intensity 37

Structural model:
```
data_Na2NbRu2
_space_group_name_H-M_alt 'I 4/m m m'
_space_group_IT_number 139
_space_group_name_Hall '-I 4 2'
_cell_length_a 3.3997
_cell_length_b 3.3997
_cell_length_c 15.3123
_cell_angle_alpha 90.00
_cell_angle_beta 90.00
_cell_angle_gamma 90.00
loop_
_atom_site_label
_atom_site_type_symbol
_atom_site_fract_x
_atom_site_fract_y
_atom_site_fract_z
Na1 Na 0.0000 0.5000 0.2500
Nb1 Nb 0.0000 0.0000 0.0000
Ru1 Ru 0.0000 0.0000 0.4130
```


5.
Ag4PIO4: calculated X-ray diffraction stick pattern (copper Kα), based on a PBE-relaxed structure.

Top 8 peaks for 15 to 90 degrees two-theta, sorted by position:
- 16.27°, intensity 41
- 30.05°, intensity 57
- 30.82°, intensity 21
- 31.65°, intensity 50
- 33.97°, intensity 100
- 34.09°, intensity 77
- 35.85°, intensity 20
- 55.85°, intensity 21

Structural model:
```
data_Ag4PIO4
_space_group_name_H-M_alt 'P 1 21/m 1'
_space_group_IT_number 11
_space_group_name_Hall '-P 2yb'
_cell_length_a 9.3807
_cell_length_b 6.8791
_cell_length_c 11.3099
_cell_angle_alpha 90.00
_cell_angle_beta 107.99
_cell_angle_gamma 90.00
loop_
_atom_site_label
_atom_site_type_symbol
_atom_site_fract_x
_atom_site_fract_y
_atom_site_fract_z
Ag1 Ag 0.0049 0.0376 0.2830
Ag2 Ag 0.2942 0.0239 0.0412
Ag3 Ag 0.3156 0.2500 0.2757
Ag4 Ag 0.3608 0.0368 0.5780
Ag5 Ag 0.3845 0.2500 0.8106
P1 P 0.3059 0.7500 0.2993
P2 P 0.3592 0.7500 0.8245
I1 I 0.0529 0.2500 0.0709
I2 I 0.1008 0.2500 0.5253
O1 O 0.1333 0.7500 0.2737
O2 O 0.2632 0.5623 0.8260
O3 O 0.3477 0.7500 0.1747
O4 O 0.3755 0.5634 0.3750
O5 O 0.4074 0.7500 0.7036
O6 O 0.4983 0.7500 0.9434
```